[1]
Diffraction record for Ca2Si3Ni. The PXRD pattern is theoretical, not measured: it uses a structure optimized by DFT (GGA-PBE) and Cu Kα X-rays.

Most intense lines, 2θ from 15° to 90°, sorted by position:
2θ (°), intensity
20.2, 11
27.8, 6
33.0, 100
40.4, 6
41.0, 18
45.5, 41
57.4, 18
62.9, 27
69.7, 8
76.1, 15

Cell and atoms:
```
Ca2Si3Ni
1.0
3.986 0.000 0.000
-1.993 3.452 0.000
0.000 0.000 8.799
Ca Si Ni
2 3 1
Direct
0.000 0.000 0.234
0.000 0.000 0.766
0.333 0.667 0.500
0.667 0.333 0.000
0.667 0.333 0.500
0.333 0.667 0.000
```

---

[2]
Diffraction record for Ca2HfPaP4. The PXRD pattern is theoretical, not measured: it uses a structure optimized by DFT (GGA-PBE) and Cu Kα X-rays.

Most intense lines, 2θ from 15° to 90°, sorted by position:
2θ (°), intensity
26.5, 41
26.6, 20
27.0, 27
27.6, 50
27.8, 25
31.8, 100
32.0, 49
45.2, 54
46.2, 35
54.3, 20

Cell and atoms:
```
Ca2HfPaP4
1.0
6.790 0.000 0.000
0.000 3.956 0.000
-2.259 0.000 6.614
Ca Hf Pa P
2 1 1 4
Direct
0.000 0.000 0.000
0.500 0.500 0.000
0.000 0.500 0.500
0.500 0.000 0.500
0.235 0.000 0.724
0.248 0.500 0.271
0.752 0.500 0.729
0.765 0.000 0.276
```

---

[3]
Diffraction record for LaNd2Tc. The PXRD pattern is theoretical, not measured: it uses a structure optimized by DFT (GGA-PBE) and Cu Kα X-rays.

Most intense lines, 2θ from 15° to 90°, sorted by position:
2θ (°), intensity
29.1, 38
29.4, 65
30.2, 44
30.5, 100
30.8, 69
32.9, 79
33.2, 74
36.7, 43
38.9, 30
46.6, 45

Cell and atoms:
```
LaNd2Tc
1.0
7.409 0.000 0.000
0.000 9.797 0.000
0.000 0.000 6.655
La Nd Tc
4 8 4
Direct
0.060 0.250 0.133
0.440 0.750 0.633
0.560 0.250 0.367
0.940 0.750 0.867
0.174 0.067 0.667
0.174 0.433 0.667
0.326 0.567 0.167
0.326 0.933 0.167
0.674 0.067 0.833
0.674 0.433 0.833
0.826 0.567 0.333
0.826 0.933 0.333
0.124 0.750 0.477
0.376 0.250 0.977
0.624 0.750 0.023
0.876 0.250 0.523
```

---

[4]
Diffraction record for SbP3. The PXRD pattern is theoretical, not measured: it uses a structure optimized by DFT (GGA-PBE) and Cu Kα X-rays.

Most intense lines, 2θ from 15° to 90°, sorted by position:
2θ (°), intensity
20.3, 28
20.5, 35
28.7, 35
32.2, 17
35.6, 36
35.8, 32
38.4, 100
46.3, 19
53.5, 19
65.8, 20

Cell and atoms:
```
SbP3
1.0
-1.668 2.524 4.341
1.668 -2.524 4.341
1.668 2.524 -4.341
Sb P
1 3
Direct
0.000 0.000 0.000
0.306 0.806 0.500
0.500 0.500 0.000
0.694 0.194 0.500
```